1.
Theoretical powder XRD pattern
Compound: Tb3Pd13
Radiation: Cu Ka
Structure: DFT lattice parameters and positions (PBE)

Structural model:
```
data_Tb3Pd13
_cell_length_a 8.455
_cell_length_b 7.851
_cell_length_c 8.342
_cell_angle_alpha 90.00
_cell_angle_beta 90.00
_cell_angle_gamma 90.00
_space_group_name_H-M_alt 'A m m 2'
_space_group_IT_number 38
_space_group_name_Hall 'A 2 -2'
loop_
_atom_site_label
_atom_site_type_symbol
_atom_site_fract_x
_atom_site_fract_y
_atom_site_fract_z
Tb1 Tb 0.000 0.000 0.000
Tb2 Tb 0.271 0.000 0.310
Pd1 Pd 0.000 0.000 0.547
Pd2 Pd 0.000 0.233 0.276
Pd3 Pd 0.249 0.000 0.787
Pd4 Pd 0.255 0.245 0.048
Pd5 Pd 0.500 0.000 0.044
Pd6 Pd 0.500 0.000 0.551
Pd7 Pd 0.500 0.234 0.796
```

Most intense lines, 15° ≤ 2θ ≤ 90°, sorted by position:
d (Å)  2theta  I (rel.)  h k l
2.368  38.0  100  2 2 2
2.114  42.8  18  4 0 0
2.085  43.4  16  0 0 4
1.963  46.3  15  0 4 0
1.485  62.6  10  4 0 4
1.438  64.8  10  4 4 0
1.264  75.2  12  6 2 2
1.252  76.0  9  2 2 6
1.197  80.2  10  2 6 2
1.184  81.3  9  4 4 4

=====

2.
Theoretical powder XRD pattern
Compound: Nd4Sn8Ru
Radiation: Cu Ka
Structure: DFT lattice parameters and positions (PBE)

Structural model:
```
data_Nd4Sn8Ru
_cell_length_a 4.506
_cell_length_b 4.594
_cell_length_c 17.001
_cell_angle_alpha 90.00
_cell_angle_beta 90.00
_cell_angle_gamma 90.00
_space_group_name_H-M_alt 'P m m 2'
_space_group_IT_number 25
_space_group_name_Hall 'P 2 -2'
loop_
_atom_site_label
_atom_site_type_symbol
_atom_site_fract_x
_atom_site_fract_y
_atom_site_fract_z
Nd1 Nd 0.000 0.000 0.000
Nd2 Nd 0.000 0.500 0.487
Nd3 Nd 0.500 0.000 0.788
Nd4 Nd 0.500 0.500 0.293
Sn1 Sn 0.000 0.000 0.328
Sn2 Sn 0.000 0.000 0.626
Sn3 Sn 0.000 0.500 0.145
Sn4 Sn 0.000 0.500 0.853
Sn5 Sn 0.500 0.000 0.149
Sn6 Sn 0.500 0.000 0.452
Sn7 Sn 0.500 0.500 0.625
Sn8 Sn 0.500 0.500 0.969
Ru1 Ru 0.000 0.500 0.701
```

Most intense lines, 15° ≤ 2θ ≤ 90°, sorted by position:
d (Å)  2theta  I (rel.)  h k l
2.833  31.6  16  0 0 6
2.797  32.0  100  1 1 3
2.399  37.5  10  1 0 6
2.297  39.2  20  0 2 0
2.253  40.0  19  2 0 0
1.784  51.2  8  0 2 6
1.763  51.8  8  2 0 6
1.608  57.3  14  2 2 0
1.405  66.6  13  1 3 3
1.384  67.7  12  3 1 3

=====

3.
Theoretical powder XRD pattern
Compound: Nd3YSn12
Radiation: Cu Ka
Structure: DFT lattice parameters and positions (PBE)

Structural model:
```
data_Nd3YSn12
_cell_length_a 4.781
_cell_length_b 4.781
_cell_length_c 18.871
_cell_angle_alpha 90.00
_cell_angle_beta 90.00
_cell_angle_gamma 90.00
_space_group_name_H-M_alt 'P 4/m m m'
_space_group_IT_number 123
_space_group_name_Hall '-P 4 2'
loop_
_atom_site_label
_atom_site_type_symbol
_atom_site_fract_x
_atom_site_fract_y
_atom_site_fract_z
Nd1 Nd 0.000 0.000 0.000
Nd2 Nd 0.000 0.000 0.251
Y1 Y 0.000 0.000 0.500
Sn1 Sn 0.000 0.500 0.126
Sn2 Sn 0.000 0.500 0.378
Sn3 Sn 0.500 0.500 0.000
Sn4 Sn 0.500 0.500 0.252
Sn5 Sn 0.500 0.500 0.500
```

Most intense lines, 15° ≤ 2θ ≤ 90°, sorted by position:
d (Å)  2theta  I (rel.)  h k l
2.748  32.6  100  1 1 4
2.390  37.6  34  2 0 0
2.359  38.2  16  0 0 8
1.690  54.3  12  2 2 0
1.679  54.7  23  2 0 8
1.440  64.8  29  3 1 4
1.426  65.5  14  1 1 12
1.374  68.3  12  2 2 8
1.195  80.3  4  4 0 0
1.096  89.4  7  3 3 4